This entry pairs a crystal structure of Y5HoSn6 with its theoretical powder XRD pattern. Radiation: λ = 1.5418 Å (Cu Kα). Structure: a crystal structure in Alexandria, relaxed with GGA-PBE.

Structure:
```
Y5HoSn6
1.0
2.8671 -7.0323 0.0000
2.8671 7.0323 0.0000
-1.8235 0.0000 8.2922
Y Ho Sn
5 1 6
Cartesian
0.0000 0.0000 0.0000
2.8671 2.3537 0.0000
1.9553 2.3337 4.1461
1.9553 -2.3337 4.1461
2.8671 -2.3537 0.0000
-0.9118 0.0000 4.1461
2.4042 4.6938 2.0817
1.5064 4.6938 6.2105
1.4785 0.0000 6.2260
2.4320 0.0000 2.0663
2.4042 -4.6938 2.0817
1.5064 -4.6938 6.2105
```

Largest 10 diffraction maxima, sorted by position, 5 to 70 degrees two-theta:
two_theta  I (rel.)
30.59  1000
31.96  446
35.23  687
38.40  273
43.66  190
48.72  138
50.80  244
53.01  215
59.53  152
61.98  136